Diffraction record for Ac3MgBi4. The powder diffractogram is simulated, not measured: it uses a crystal structure in Alexandria, relaxed with GGA-PBE and a wavelength of 1.5418 Å.
Kinematic intensities with the Lorentz-polarization factor, no thermal factor.

```
data_Ac3MgBi4
_cell_length_a 6.816
_cell_length_b 6.816
_cell_length_c 6.816
_cell_angle_alpha 90.00
_cell_angle_beta 90.00
_cell_angle_gamma 90.00
_symmetry_space_group_name_H-M 'P m -3 m'
_symmetry_Int_Tables_number 221
_symmetry_space_group_name_Hall '-P 4 2 3'
loop_
_atom_site_label
_atom_site_fract_x
_atom_site_fract_y
_atom_site_fract_z
Ac1 0.000 0.000 0.500
Mg1 0.500 0.500 0.500
Bi1 0.000 0.000 0.000
Bi2 0.000 0.500 0.500
```

The 8 most intense peaks (2θ from 5° to 70°), by angle:
12.99°, I = 8; 18.41°, I = 7; 26.15°, I = 100; 37.31°, I = 81; 46.13°, I = 30; 53.80°, I = 14; 60.77°, I = 40; 67.29°, I = 30